Simulated powder XRD pattern
Compound: Tl5Os4
Radiation: Cu Kα (weighted mean of Kα1 and Kα2)
Structure: a crystal structure in Alexandria, relaxed with GGA-PBE

Structural model:
Cell lengths 10.729, 10.729, 3.543 Å; angles 90.00, 90.00, 90.00 degrees
Space group I4/mmm (No. 139)
Inequivalent atoms, fractional coordinates:
Tl1 0.000 0.000 0.000 x2
Tl2 0.169 0.169 0.500 x8
Os1 0.000 0.376 0.000 x8

The 8 most intense peaks (10° ≤ 2θ ≤ 90°), in order of falling intensity:
h k l  2θ (°)  Rel. int.
3 0 1  35.7  100.0
3 3 0  35.5  43.8
6 3 1  63.9  22.0
3 3 2  64.2  16.1
5 2 1  52.7  12.8
6 0 0  51.1  12.7
0 0 2  51.6  10.2
2 2 0  23.5  10.0

=====

Simulated powder XRD pattern
Compound: Ce2Ni15Sn2
Radiation: Cu Kα (weighted mean of Kα1 and Kα2)
Structure: a crystal structure in Alexandria, relaxed with GGA-PBE

Structural model:
Cell lengths 8.4413, 8.4413, 12.6667 Å; angles 90.00, 90.00, 120.00 degrees
Space group R-3m (No. 166, hexagonal axes)
Inequivalent atoms, fractional coordinates:
Ce1 0.0000 0.0000 0.1182 x6
Ni1 0.0000 0.3346 0.0000 x18
Ni2 0.0000 0.5000 0.5000 x9
Ni3 0.0124 0.5062 0.1663 x18
Sn1 0.0000 0.0000 0.3737 x6

The 8 most intense peaks (10° ≤ 2θ ≤ 90°), in order of falling intensity:
h k l  2θ (°)  Rel. int.
0 0 6  42.8  100.0
2 2 3  48.2  60.2
3 0 0  36.9  43.5
1 0 4  30.8  34.4
2 1 4  43.5  32.9
6 0 0  78.5  26.4
0 2 4  37.6  22.1
1 3 4  53.7  15.0

=====

Simulated powder XRD pattern
Compound: SmDySc2
Radiation: Cu Kα (weighted mean of Kα1 and Kα2)
Structure: a crystal structure in Alexandria, relaxed with GGA-PBE

Structural model:
Cell lengths 3.4415, 3.4415, 32.9416 Å; angles 90.00, 90.00, 120.00 degrees
Space group R-3m (No. 166, hexagonal axes)
Inequivalent atoms, fractional coordinates:
Sm1 0.0000 0.0000 0.0000 x3
Dy1 0.0000 0.0000 0.5000 x3
Sc1 0.0000 0.0000 0.2494 x6

The 8 most intense peaks (10° ≤ 2θ ≤ 90°), in order of falling intensity:
h k l  2θ (°)  Rel. int.
1 0 4  31.9  100.0
0 1 8  37.2  65.6
0 0 6  16.1  49.9
0 1 2  30.5  33.8
0 0 12  32.6  31.5
1 1 12  63.8  26.3
1 1 0  53.2  23.0
1 0 16  54.1  21.8

=====

Simulated powder XRD pattern
Compound: Ba2Mg12Au7
Radiation: Cu Kα (weighted mean of Kα1 and Kα2)
Structure: a crystal structure in Alexandria, relaxed with GGA-PBE

Structural model:
Cell lengths 11.1725, 11.1725, 4.4361 Å; angles 90.00, 90.00, 120.00 degrees
Space group P-6 (No. 174)
Inequivalent atoms, fractional coordinates:
Ba1 0.0000 0.0000 0.0000 x1
Ba2 0.3333 0.6667 0.5000 x1
Mg1 0.0452 0.2885 0.5000 x3
Mg2 0.1044 0.7179 0.0000 x3
Mg3 0.3899 0.1844 0.0000 x3
Mg4 0.5489 0.4276 0.5000 x3
Au1 0.0635 0.4508 0.0000 x3
Au2 0.2612 0.2233 0.5000 x3
Au3 0.6667 0.3333 0.0000 x1

The 8 most intense peaks (10° ≤ 2θ ≤ 90°), in order of falling intensity:
h k l  2θ (°)  Rel. int.
2 1 0  24.3  100.0
2 0 1  27.3  72.8
1 2 1  31.7  64.1
1 1 1  25.6  57.3
3 2 1  45.7  44.7
1 4 0  42.8  44.0
1 3 1  39.2  41.8
2 1 2  48.0  34.2

=====

Simulated powder XRD pattern
Compound: Ac3Nd8Ho
Radiation: Cu Kα (weighted mean of Kα1 and Kα2)
Structure: a crystal structure in Alexandria, relaxed with GGA-PBE

Structural model:
Cell lengths 6.737, 9.577, 14.356 Å; angles 90.00, 90.00, 90.00 degrees
Space group I222 (No. 23)
Inequivalent atoms, fractional coordinates:
Ac1 0.000 0.000 0.000 x2
Ac2 0.000 0.500 0.368 x4
Nd1 0.131 0.343 0.899 x8
Nd2 0.140 0.149 0.706 x8
Ho1 0.000 0.000 0.500 x2

The 8 most intense peaks (10° ≤ 2θ ≤ 90°), in order of falling intensity:
h k l  2θ (°)  Rel. int.
1 1 4  29.7  100.0
2 1 1  28.8  50.6
1 2 3  29.5  39.4
0 3 1  28.6  34.7
1 3 2  33.5  34.2
2 2 2  34.9  33.0
3 3 4  56.3  22.8
2 2 0  32.5  21.7

=====

Simulated powder XRD pattern
Compound: Ho3InTe6
Radiation: Cu Kα (weighted mean of Kα1 and Kα2)
Structure: a crystal structure in Alexandria, relaxed with GGA-PBE

Structural model:
Cell lengths 12.084, 14.993, 7.359 Å; angles 90.00, 90.00, 90.00 degrees
Space group Cmc2_1 (No. 36)
Inequivalent atoms, fractional coordinates:
Ho1 0.000 0.092 0.000 x4
Ho2 0.183 0.404 0.893 x8
In1 0.000 0.294 0.366 x4
Te1 0.000 0.277 0.746 x4
Te2 0.000 0.467 0.198 x4
Te3 0.164 0.038 0.700 x8
Te4 0.176 0.226 0.155 x8

The 8 most intense peaks (10° ≤ 2θ ≤ 90°), in order of falling intensity:
h k l  2θ (°)  Rel. int.
3 3 1  31.0  100.0
3 1 2  33.5  84.3
3 5 0  37.4  77.9
2 2 1  22.4  62.7
0 4 2  34.2  51.4
1 3 1  22.7  37.8
6 0 0  45.0  32.7
3 1 1  25.9  32.2

=====

Simulated powder XRD pattern
Compound: SmSc4Pd4
Radiation: Cu Kα (weighted mean of Kα1 and Kα2)
Structure: a crystal structure in Alexandria, relaxed with GGA-PBE

Structural model:
Cell lengths 8.777, 8.777, 5.419 Å; angles 90.00, 90.00, 90.00 degrees
Space group P4_2/n (No. 86, origin choice 2)
Inequivalent atoms, fractional coordinates:
Sm1 0.250 0.250 0.250 x2
Sc1 0.090 0.648 0.162 x8
Pd1 0.047 0.613 0.665 x8

The 8 most intense peaks (10° ≤ 2θ ≤ 90°), in order of falling intensity:
h k l  2θ (°)  Rel. int.
1 3 0  32.3  100.0
1 0 1  19.3  57.9
1 2 1  28.1  38.9
4 1 1  45.8  30.7
2 3 1  40.6  30.6
1 0 2  34.7  28.4
4 2 0  46.3  27.0
3 0 2  45.6  26.7

=====

Simulated powder XRD pattern
Compound: BaAg2IO2
Radiation: Cu Kα (weighted mean of Kα1 and Kα2)
Structure: a crystal structure in Alexandria, relaxed with GGA-PBE

Structural model:
Cell lengths 6.356, 6.219, 8.341 Å; angles 90.00, 109.20, 90.00 degrees
Space group P2_1/m (No. 11)
Inequivalent atoms, fractional coordinates:
Ba1 0.099 0.250 0.179 x2
Ag1 0.101 0.250 0.736 x2
Ag2 0.479 0.750 0.996 x2
I1 0.267 0.750 0.537 x2
O1 0.241 0.014 0.966 x4

The 8 most intense peaks (10° ≤ 2θ ≤ 90°), in order of falling intensity:
h k l  2θ (°)  Rel. int.
1 1 -2  26.8  100.0
0 2 0  28.7  70.9
1 2 2  42.7  44.7
1 0 2  31.0  44.3
2 1 0  33.1  40.1
3 1 0  47.8  29.9
1 1 -1  21.0  28.7
2 1 -2  34.2  24.4

=====

Simulated powder XRD pattern
Compound: K2SnBr5
Radiation: Cu Kα (weighted mean of Kα1 and Kα2)
Structure: a crystal structure in Alexandria, relaxed with GGA-PBE

Structural model:
Cell lengths 6.512, 8.068, 8.425 Å; angles 62.30, 67.35, 66.21 degrees
Space group P1 (No. 1)
Inequivalent atoms, fractional coordinates:
K1 0.000 0.000 0.000 x1
K2 0.459 0.623 0.460 x1
Sn1 0.211 0.311 0.230 x1
Br1 0.004 0.593 0.401 x1
Br2 0.276 0.019 0.560 x1
Br3 0.313 0.604 0.901 x1
Br4 0.456 0.030 0.060 x1
Br5 0.800 0.312 0.230 x1

The 8 most intense peaks (10° ≤ 2θ ≤ 90°), in order of falling intensity:
h k l  2θ (°)  Rel. int.
1 1 1  15.3  100.0
2 1 1  27.4  71.6
0 0 1  12.2  69.9
0 2 2  28.5  65.6
0 1 -2  31.9  49.5
2 3 3  40.0  41.3
0 1 -1  20.8  37.0
2 0 2  34.7  30.6

=====

Simulated powder XRD pattern
Compound: Rb2RuSCl6
Radiation: Cu Kα (weighted mean of Kα1 and Kα2)
Structure: a crystal structure in Alexandria, relaxed with GGA-PBE

Structural model:
Cell lengths 7.983, 7.983, 9.094 Å; angles 90.00, 90.00, 90.00 degrees
Space group I4/mmm (No. 139)
Inequivalent atoms, fractional coordinates:
Rb1 0.000 0.500 0.250 x4
Ru1 0.000 0.000 0.000 x2
S1 0.000 0.000 0.500 x2
Cl1 0.000 0.000 0.256 x4
Cl2 0.211 0.211 0.000 x8

The 8 most intense peaks (10° ≤ 2θ ≤ 90°), in order of falling intensity:
h k l  2θ (°)  Rel. int.
2 2 0  31.7  100.0
1 1 2  25.1  89.6
2 0 0  22.3  64.6
2 0 2  29.8  54.7
1 0 1  14.8  54.5
2 2 4  51.6  47.1
3 1 2  40.9  37.7
4 0 0  45.4  30.0

=====

Simulated powder XRD pattern
Compound: Pr3TmCd3
Radiation: Cu Kα (weighted mean of Kα1 and Kα2)
Structure: a crystal structure in Alexandria, relaxed with GGA-PBE

Structural model:
Cell lengths 8.732, 11.372, 8.738 Å; angles 90.00, 97.14, 90.00 degrees
Space group C2/m (No. 12)
Inequivalent atoms, fractional coordinates:
Pr1 0.000 0.174 0.000 x4
Pr2 0.000 0.244 0.500 x4
Pr3 0.138 0.500 0.866 x4
Tm1 0.201 0.500 0.473 x4
Cd1 0.004 0.000 0.706 x4
Cd2 0.220 0.330 0.214 x8

The 8 most intense peaks (10° ≤ 2θ ≤ 90°), in order of falling intensity:
h k l  2θ (°)  Rel. int.
2 2 -2  31.5  100.0
1 3 2  33.9  45.6
1 3 1  28.2  39.1
3 1 0  32.0  38.1
4 0 0  41.7  25.1
2 2 2  34.8  24.4
2 0 3  39.6  21.3
1 1 -3  32.4  21.0

=====

Simulated powder XRD pattern
Compound: K4Y3PtO8
Radiation: Cu Kα (weighted mean of Kα1 and Kα2)
Structure: a crystal structure in Alexandria, relaxed with GGA-PBE

Structural model:
Cell lengths 12.117, 6.769, 7.340 Å; angles 90.00, 121.51, 90.00 degrees
Space group C2/m (No. 12)
Inequivalent atoms, fractional coordinates:
K1 0.000 0.000 0.000 x2
K2 0.000 0.500 0.000 x2
K3 0.250 0.250 0.000 x4
Y1 0.000 0.000 0.500 x2
Y2 0.250 0.250 0.500 x4
Pt1 0.000 0.500 0.500 x2
O1 0.022 0.267 0.322 x8
O2 0.224 0.000 0.686 x4
O3 0.242 0.000 0.286 x4

The 8 most intense peaks (10° ≤ 2θ ≤ 90°), in order of falling intensity:
h k l  2θ (°)  Rel. int.
0 0 1  14.2  100.0
2 2 -2  36.2  89.4
2 2 0  31.6  58.9
4 0 0  34.7  51.0
0 0 2  28.5  44.1
2 2 2  49.2  31.5
4 0 -2  31.3  30.8
6 2 -2  52.8  28.6